Calculated XRD peak list of RbTi3O6 for Cu Kα, 1.54184 Å, from a structure optimized by DFT (PBE).
Kinematic intensities with the Lorentz-polarization factor, no thermal factor.

Atomic structure:
```
RbTi3O6
1.0
-3.354 5.913 5.180
3.354 -5.913 5.180
3.354 5.913 -5.180
Rb Ti O
2 6 12
direct
0.250 0.250 0.000 Rb
0.750 0.750 0.000 Rb
0.180 0.675 0.855 Ti
0.250 0.750 0.500 Ti
0.320 0.175 0.495 Ti
0.680 0.825 0.505 Ti
0.750 0.250 0.500 Ti
0.820 0.325 0.145 Ti
0.056 0.486 0.254 O
0.232 0.802 0.746 O
0.234 0.940 0.174 O
0.266 0.440 0.706 O
0.268 0.014 0.570 O
0.444 0.698 0.430 O
0.556 0.302 0.570 O
0.732 0.986 0.430 O
0.734 0.560 0.294 O
0.766 0.060 0.826 O
0.768 0.198 0.254 O
0.944 0.514 0.746 O
```

Principal peaks in the range 10° ≤ 2θ ≤ 80°, by angle:
| 2θ (°) | d [Å] | Rel. int. |
| --- | --- | --- |
| 15.0 | 5.913 | 11 |
| 21.8 | 4.078 | 41 |
| 22.8 | 3.896 | 100 |
| 30.6 | 2.917 | 14 |
| 31.8 | 2.815 | 19 |
| 34.6 | 2.590 | 12 |
| 35.3 | 2.542 | 16 |
| 40.7 | 2.218 | 12 |
| 46.9 | 1.937 | 12 |
| 57.0 | 1.614 | 13 |

---

Calculated XRD peak list of RbTi2O for Cu Kα, 1.54184 Å, from a structure optimized by DFT (PBE).
Kinematic intensities with the Lorentz-polarization factor, no thermal factor.

Atomic structure:
```
RbTi2O
1.0
0.000 4.636 4.636
4.636 0.000 4.636
4.636 4.636 0.000
Rb Ti O
2 4 2
direct
0.125 0.125 0.125 Rb
0.875 0.875 0.875 Rb
0.000 0.500 0.500 Ti
0.500 0.000 0.500 Ti
0.500 0.500 0.000 Ti
0.500 0.500 0.500 Ti
0.375 0.375 0.375 O
0.625 0.625 0.625 O
```

Principal peaks in the range 10° ≤ 2θ ≤ 80°, by angle:
| 2θ (°) | d [Å] | Rel. int. |
| --- | --- | --- |
| 27.2 | 3.278 | 89 |
| 32.0 | 2.796 | 100 |
| 33.5 | 2.677 | 28 |
| 48.1 | 1.893 | 34 |
| 51.2 | 1.785 | 34 |
| 56.1 | 1.639 | 38 |
| 63.4 | 1.466 | 14 |
| 66.1 | 1.414 | 12 |
| 76.9 | 1.239 | 16 |
| 79.4 | 1.207 | 21 |

---

Calculated XRD peak list of Rb6Ti2O7 for Cu Kα, 1.54184 Å, from a structure optimized by DFT (PBE).
Kinematic intensities with the Lorentz-polarization factor, no thermal factor.

Atomic structure:
```
Rb6Ti2O7
1.0
9.862 0.000 0.000
-4.931 8.541 0.000
0.000 0.000 10.030
Rb Ti O
12 4 14
direct
0.028 0.363 0.374 Rb
0.040 0.388 0.875 Rb
0.335 0.972 0.374 Rb
0.348 0.960 0.875 Rb
0.363 0.335 0.626 Rb
0.388 0.348 0.125 Rb
0.612 0.652 0.875 Rb
0.637 0.665 0.374 Rb
0.652 0.040 0.125 Rb
0.665 0.028 0.626 Rb
0.960 0.612 0.125 Rb
0.972 0.637 0.626 Rb
0.333 0.667 0.182 Ti
0.333 0.667 0.566 Ti
0.667 0.333 0.434 Ti
0.667 0.333 0.818 Ti
0.170 0.481 0.621 O
0.174 0.477 0.127 O
0.303 0.826 0.127 O
0.311 0.830 0.621 O
0.333 0.667 0.374 O
0.477 0.303 0.873 O
0.481 0.311 0.379 O
0.519 0.689 0.621 O
0.523 0.697 0.127 O
0.667 0.333 0.626 O
0.689 0.170 0.379 O
0.697 0.174 0.873 O
0.826 0.523 0.873 O
0.830 0.519 0.379 O
```

Principal peaks in the range 10° ≤ 2θ ≤ 80°, by angle:
| 2θ (°) | d [Å] | Rel. int. |
| --- | --- | --- |
| 10.4 | 8.541 | 50 |
| 25.3 | 3.516 | 100 |
| 27.6 | 3.228 | 21 |
| 31.4 | 2.847 | 47 |
| 35.8 | 2.508 | 18 |
| 40.8 | 2.213 | 30 |
| 45.8 | 1.981 | 11 |
| 48.4 | 1.882 | 19 |
| 52.4 | 1.747 | 12 |
| 63.4 | 1.467 | 10 |

---

Calculated XRD peak list of Rb6Ti2O7 for Cu Kα, 1.54184 Å, from a structure optimized by DFT (PBE).
Kinematic intensities with the Lorentz-polarization factor, no thermal factor.

Atomic structure:
```
Rb6Ti2O7
1.0
6.933 0.000 0.000
0.000 9.727 0.000
-6.586 0.000 9.849
Rb Ti O
12 4 14
direct
0.047 0.152 0.426 Rb
0.047 0.348 0.926 Rb
0.206 0.527 0.453 Rb
0.206 0.973 0.953 Rb
0.405 0.209 0.279 Rb
0.405 0.291 0.779 Rb
0.595 0.709 0.221 Rb
0.595 0.791 0.721 Rb
0.794 0.027 0.047 Rb
0.794 0.473 0.547 Rb
0.953 0.652 0.074 Rb
0.953 0.848 0.574 Rb
0.317 0.640 0.871 Ti
0.317 0.860 0.371 Ti
0.683 0.140 0.629 Ti
0.683 0.360 0.129 Ti
0.054 0.669 0.868 O
0.054 0.831 0.368 O
0.246 0.592 0.703 O
0.246 0.908 0.203 O
0.498 0.707 0.428 O
0.498 0.793 0.928 O
0.500 0.000 0.500 O
0.500 0.500 0.000 O
0.502 0.207 0.072 O
0.502 0.293 0.572 O
0.754 0.092 0.797 O
0.754 0.408 0.297 O
0.946 0.169 0.632 O
0.946 0.331 0.132 O
```

Principal peaks in the range 10° ≤ 2θ ≤ 80°, by angle:
| 2θ (°) | d [Å] | Rel. int. |
| --- | --- | --- |
| 25.7 | 3.460 | 59 |
| 27.3 | 3.263 | 82 |
| 28.5 | 3.129 | 66 |
| 29.0 | 3.080 | 100 |
| 29.1 | 3.066 | 73 |
| 29.7 | 3.008 | 86 |
| 31.7 | 2.824 | 43 |
| 31.9 | 2.803 | 88 |
| 35.4 | 2.539 | 74 |
| 39.3 | 2.291 | 45 |

---

Calculated XRD peak list of RbTi2O4 for Cu Kα, 1.54184 Å, from a structure optimized by DFT (PBE).
Kinematic intensities with the Lorentz-polarization factor, no thermal factor.

Atomic structure:
```
RbTi2O4
1.0
0.000 6.056 3.678
4.793 0.000 3.678
4.793 6.056 0.000
Rb Ti O
2 4 8
direct
0.000 0.000 0.000 Rb
0.250 0.250 0.250 Rb
0.037 0.647 0.641 Ti
0.575 0.609 0.603 Ti
0.609 0.575 0.213 Ti
0.647 0.037 0.675 Ti
0.286 0.429 0.463 O
0.400 0.778 0.464 O
0.428 0.787 0.821 O
0.429 0.286 0.822 O
0.778 0.400 0.358 O
0.786 0.892 0.850 O
0.787 0.428 0.964 O
0.892 0.786 0.472 O
```

Principal peaks in the range 10° ≤ 2θ ≤ 80°, by angle:
| 2θ (°) | d [Å] | Rel. int. |
| --- | --- | --- |
| 23.7 | 3.758 | 81 |
| 26.9 | 3.320 | 100 |
| 28.4 | 3.144 | 87 |
| 30.6 | 2.918 | 36 |
| 31.4 | 2.849 | 66 |
| 38.6 | 2.331 | 52 |
| 40.3 | 2.237 | 54 |
| 43.1 | 2.101 | 25 |
| 49.7 | 1.834 | 43 |
| 65.6 | 1.424 | 26 |

---

Calculated XRD peak list of Rb5Ti2O6 for Cu Kα, 1.54184 Å, from a structure optimized by DFT (PBE).
Kinematic intensities with the Lorentz-polarization factor, no thermal factor.

Atomic structure:
```
Rb5Ti2O6
1.0
13.293 0.000 0.000
0.000 13.856 0.000
0.000 0.000 3.515
Rb Ti O
10 4 12
direct
0.000 0.000 0.000 Rb
0.127 0.478 0.000 Rb
0.223 0.733 0.000 Rb
0.277 0.233 0.000 Rb
0.373 0.978 0.000 Rb
0.500 0.500 0.000 Rb
0.627 0.022 0.000 Rb
0.723 0.767 0.000 Rb
0.777 0.267 0.000 Rb
0.873 0.522 0.000 Rb
0.018 0.269 0.500 Ti
0.482 0.769 0.500 Ti
0.518 0.231 0.500 Ti
0.982 0.731 0.500 Ti
0.001 0.205 0.000 O
0.070 0.634 0.500 O
0.141 0.319 0.500 O
0.359 0.819 0.500 O
0.430 0.134 0.500 O
0.499 0.705 0.000 O
0.501 0.295 0.000 O
0.570 0.866 0.500 O
0.641 0.181 0.500 O
0.859 0.681 0.500 O
0.930 0.366 0.500 O
0.999 0.795 0.000 O
```

Principal peaks in the range 10° ≤ 2θ ≤ 80°, by angle:
| 2θ (°) | d [Å] | Rel. int. |
| --- | --- | --- |
| 18.5 | 4.796 | 29 |
| 21.0 | 4.221 | 81 |
| 25.3 | 3.515 | 44 |
| 25.7 | 3.464 | 96 |
| 29.8 | 2.996 | 59 |
| 31.6 | 2.835 | 100 |
| 33.2 | 2.700 | 67 |
| 36.4 | 2.467 | 48 |
| 46.5 | 1.953 | 29 |
| 52.0 | 1.758 | 25 |